The following is a theoretical powder XRD pattern of NbAlZn. It was derived from a cell relaxed with PBE, using copper Kα.
Kinematic intensities with the Lorentz-polarization factor, no thermal factor.

Crystal structure
a = 8.3446 Å, b = 5.0580 Å, c = 5.0580 Å
α = 60.71°, β = 90.00°, γ = 90.00°
Positions (direct):
Nb 0.1828 0.0000 0.0000
Nb 0.3107 0.3297 0.3297
Nb 0.6893 0.3297 0.3297
Nb 0.8172 0.0000 0.0000
Al 0.0000 0.0109 0.4971
Al 0.0000 0.4971 0.0109
Al 0.2577 0.6628 0.6628
Al 0.7423 0.6628 0.6628
Zn 0.0000 0.4978 0.4978
Zn 0.5000 0.3185 0.8389
Zn 0.5000 0.8382 0.8382
Zn 0.5000 0.8389 0.3185

Most intense lines, 10 to 80 degrees two-theta, low angle first:
2θ 38.3, I 100; 2θ 38.4, I 35; 2θ 41.4, I 40; 2θ 41.8, I 85; 2θ 42.4, I 71; 2θ 42.8, I 33